Entry 1:
Diffraction record for Ni2Bi3Pd. The powder diffractogram is simulated, not measured: it uses a structure optimized by DFT (PBE) and λ = 1.5418 Å (Cu Kα).
Neutral-atom scattering factors, no anomalous dispersion.

Top 6 peaks for 15 to 90 degrees two-theta, sorted by position:
two_theta	I/Imax
27.37	566
30.37	1000
32.01	551
33.75	450
41.73	472
42.54	630

Crystal structure
```
12
Lattice="8.5848 -2.1643 0.0000 8.5848 2.1643 0.0000 -1.5663 0.0000 7.1734" Properties=species:S:1:pos:R:3 pbc="T T T"
Ni 0.8894 0.0000 1.0240
Ni 3.6210 0.0000 4.2086
Ni 11.9824 0.0000 2.9648
Ni 14.7140 0.0000 6.1494
Bi 0.1376 0.0000 5.6442
Bi 3.8433 0.0000 1.5110
Bi 6.1994 0.0000 4.5441
Bi 9.4040 0.0000 2.6293
Bi 11.7601 0.0000 5.6624
Bi 15.4657 0.0000 1.5292
Pd 4.6144 0.0000 6.9340
Pd 10.9890 0.0000 0.2395
```

Entry 2:
Diffraction record for Pm4Ni3Bi8. The powder diffractogram is simulated, not measured: it uses a structure optimized by DFT (PBE) and λ = 1.5418 Å (Cu Kα).
Neutral-atom scattering factors, no anomalous dispersion.

Top 6 peaks for 15 to 90 degrees two-theta, sorted by position:
two_theta	I/Imax
27.91	332
29.12	703
33.40	1000
39.37	622
48.95	296
67.61	266

Crystal structure
```
15
Lattice="4.5772 0.0000 0.0000 0.0000 4.5772 0.0000 0.0000 0.0000 19.1821" Properties=species:S:1:pos:R:3 pbc="T T T"
Pm 0.0000 2.2886 2.1541
Pm 0.0000 2.2886 11.7942
Pm 2.2886 0.0000 7.3879
Pm 2.2886 0.0000 17.0280
Ni 0.0000 0.0000 0.0000
Ni 0.0000 0.0000 9.5911
Ni 2.2886 2.2886 9.5911
Bi 0.0000 0.0000 4.7707
Bi 0.0000 0.0000 14.4115
Bi 0.0000 2.2886 8.1931
Bi 0.0000 2.2886 17.8723
Bi 2.2886 0.0000 1.3099
Bi 2.2886 0.0000 10.9891
Bi 2.2886 2.2886 4.7730
Bi 2.2886 2.2886 14.4091
```